# 1
# LiSmThNb
Calculated PXRD pattern, Cu Kα X-rays. Input: a DFT-relaxed cell (PBE, Alexandria).
Lines closer than 0.1° are merged.

Atomic structure:
```
data_LiSmThNb
_chemical_formula_sum 'Li4 Sm4 Th4 Nb4'
_cell_length_a 7.317
_cell_length_b 7.317
_cell_length_c 7.317
_cell_angle_alpha 90.00
_cell_angle_beta 90.00
_cell_angle_gamma 90.00
_symmetry_space_group_name_H-M 'F -4 3 m'
_symmetry_Int_Tables_number 216
_symmetry_space_group_name_Hall 'F -4 2 3'
loop_
_atom_site_label
_atom_site_type_symbol
_atom_site_fract_x
_atom_site_fract_y
_atom_site_fract_z
Li1 Li 0.000 0.000 0.000
Sm1 Sm 0.250 0.250 0.250
Th1 Th 0.250 0.250 0.750
Nb1 Nb 0.000 0.000 0.500
```

Principal peaks in the range 5 to 70 degrees two-theta, by intensity:
d = 2.587 Å, 34.68°, rel. 100
d = 3.658 Å, 24.33°, rel. 40
d = 1.493 Å, 62.15°, rel. 37
d = 1.829 Å, 49.85°, rel. 18
d = 1.636 Å, 56.23°, rel. 17
d = 4.224 Å, 21.03°, rel. 14
d = 2.112 Å, 42.82°, rel. 12
d = 2.206 Å, 40.91°, rel. 8
d = 1.679 Å, 54.68°, rel. 3
d = 1.408 Å, 66.39°, rel. 3

---

# 2
# LiNbTcSn2
Calculated PXRD pattern, Cu Kα X-rays. Input: a DFT-relaxed cell (PBE, Alexandria).
Lines closer than 0.1° are merged.

Atomic structure:
```
data_LiNbTcSn2
_chemical_formula_sum 'Li1 Nb1 Tc1 Sn2'
_cell_length_a 5.427
_cell_length_b 5.427
_cell_length_c 4.748
_cell_angle_alpha 90.00
_cell_angle_beta 90.00
_cell_angle_gamma 90.00
_symmetry_space_group_name_H-M 'P 4/m m m'
_symmetry_Int_Tables_number 123
_symmetry_space_group_name_Hall '-P 4 2'
loop_
_atom_site_label
_atom_site_type_symbol
_atom_site_fract_x
_atom_site_fract_y
_atom_site_fract_z
Li1 Li 0.000 0.000 0.000
Nb1 Nb 0.500 0.500 0.500
Tc1 Tc 0.500 0.500 0.000
Sn1 Sn 0.000 0.500 0.500
```

Principal peaks in the range 5 to 70 degrees two-theta, by intensity:
d = 5.427 Å, 16.33°, rel. 100
d = 2.714 Å, 33.01°, rel. 94
d = 2.985 Å, 29.94°, rel. 78
d = 1.787 Å, 51.12°, rel. 55
d = 4.748 Å, 18.69°, rel. 51
d = 2.356 Å, 38.20°, rel. 35
d = 1.919 Å, 47.38°, rel. 34
d = 2.374 Å, 37.90°, rel. 32
d = 1.492 Å, 62.21°, rel. 30
d = 1.614 Å, 57.06°, rel. 26

---

# 3
# LiTmNbTc
Calculated PXRD pattern, Cu Kα X-rays. Input: a DFT-relaxed cell (PBE, Alexandria).
Lines closer than 0.1° are merged.

Atomic structure:
```
data_LiTmNbTc
_chemical_formula_sum 'Li4 Tm4 Nb4 Tc4'
_cell_length_a 6.586
_cell_length_b 6.586
_cell_length_c 6.586
_cell_angle_alpha 90.00
_cell_angle_beta 90.00
_cell_angle_gamma 90.00
_symmetry_space_group_name_H-M 'F -4 3 m'
_symmetry_Int_Tables_number 216
_symmetry_space_group_name_Hall 'F -4 2 3'
loop_
_atom_site_label
_atom_site_type_symbol
_atom_site_fract_x
_atom_site_fract_y
_atom_site_fract_z
Li1 Li 0.000 0.000 0.000
Tm1 Tm 0.250 0.250 0.750
Nb1 Nb 0.250 0.250 0.250
Tc1 Tc 0.000 0.000 0.500
```

Principal peaks in the range 5 to 70 degrees two-theta, by intensity:
d = 2.329 Å, 38.67°, rel. 100
d = 1.344 Å, 69.98°, rel. 34
d = 3.803 Å, 23.39°, rel. 26
d = 3.293 Å, 27.08°, rel. 23
d = 1.647 Å, 55.84°, rel. 17
d = 1.986 Å, 45.69°, rel. 13
d = 1.473 Å, 63.13°, rel. 9
d = 1.901 Å, 47.84°, rel. 7
d = 1.511 Å, 61.36°, rel. 5

---

# 4
# LiNd
Calculated PXRD pattern, Cu Kα X-rays. Input: a DFT-relaxed cell (PBE, Alexandria).
Lines closer than 0.1° are merged.

Atomic structure:
```
data_LiNd
_chemical_formula_sum 'Li1 Nd1'
_cell_length_a 3.823
_cell_length_b 3.823
_cell_length_c 3.823
_cell_angle_alpha 90.00
_cell_angle_beta 90.00
_cell_angle_gamma 90.00
_symmetry_space_group_name_H-M 'P m -3 m'
_symmetry_Int_Tables_number 221
_symmetry_space_group_name_Hall '-P 4 2 3'
loop_
_atom_site_label
_atom_site_type_symbol
_atom_site_fract_x
_atom_site_fract_y
_atom_site_fract_z
Li1 Li 0.000 0.000 0.000
Nd1 Nd 0.500 0.500 0.500
```

Principal peaks in the range 5 to 70 degrees two-theta, by intensity:
d = 3.823 Å, 23.27°, rel. 100
d = 2.703 Å, 33.14°, rel. 94
d = 1.710 Å, 53.60°, rel. 42
d = 1.561 Å, 59.20°, rel. 35
d = 2.207 Å, 40.88°, rel. 30
d = 1.912 Å, 47.57°, rel. 17
d = 1.352 Å, 69.55°, rel. 11

---

- Which formula does entry 3 have?
  LiTmNbTc